1.
Li2TiTcO6: simulated powder diffraction line list (CuKα), based on a crystal structure in Alexandria, relaxed with GGA-PBE.
Kinematic intensities with the Lorentz-polarization factor, no thermal factor.

Most intense lines, 5 to 70 degrees two-theta, by angle:
| d/Å | I (rel.) |
| --- | --- |
| 5.293 | 23 |
| 4.712 | 93 |
| 3.742 | 100 |
| 2.931 | 63 |
| 2.646 | 20 |
| 2.307 | 17 |
| 1.994 | 26 |
| 1.871 | 28 |
| 1.739 | 20 |
| 1.577 | 19 |

Structural model:
```
Li2TiTcO6
1.0
5.2926 0.0000 0.0000
0.0000 5.2926 0.0000
0.0000 0.0000 4.7118
Li Ti Tc O
2 1 1 6
Cartesian
0.0000 2.6463 0.0000
2.6463 0.0000 0.0000
0.0000 0.0000 3.3700
2.6463 2.6463 3.3153
0.0000 0.0000 1.6869
1.3619 1.3619 3.9211
1.3619 3.9308 3.9211
2.6463 2.6463 1.6199
3.9308 1.3619 3.9211
3.9308 3.9308 3.9211
```


2.
NaZn2Ga4Pd: simulated powder diffraction line list (CuKα), based on a crystal structure in Alexandria, relaxed with GGA-PBE.
Kinematic intensities with the Lorentz-polarization factor, no thermal factor.

Most intense lines, 5 to 70 degrees two-theta, by angle:
| d/Å | I (rel.) |
| --- | --- |
| 9.420 | 82 |
| 3.715 | 17 |
| 2.747 | 17 |
| 2.571 | 87 |
| 2.164 | 100 |
| 2.119 | 25 |
| 2.109 | 13 |
| 1.882 | 15 |
| 1.655 | 22 |
| 1.421 | 16 |

Structural model:
```
NaZn2Ga4Pd
1.0
2.1638 1.2493 9.4196
-2.1638 1.2493 9.4196
0.0000 -2.4986 9.4196
Na Zn Ga Pd
1 2 4 1
Cartesian
0.0000 0.0000 0.0000
0.0000 0.0000 7.2762
0.0000 0.0000 20.9827
0.0000 0.0000 3.7235
0.0000 0.0000 11.4500
0.0000 0.0000 16.8089
0.0000 0.0000 24.5354
0.0000 0.0000 14.1294
```


3.
V4Re3Mo: simulated powder diffraction line list (CuKα), based on a crystal structure in Alexandria, relaxed with GGA-PBE.
Kinematic intensities with the Lorentz-polarization factor, no thermal factor.

Most intense lines, 5 to 70 degrees two-theta, by angle:
| d/Å | I (rel.) |
| --- | --- |
| 8.631 | 5 |
| 4.314 | 2 |
| 3.857 | 1 |
| 3.048 | 36 |
| 2.155 | 100 |
| 1.760 | 11 |
| 1.525 | 11 |
| 1.521 | 5 |
| 1.364 | 9 |
| 1.361 | 5 |

Structural model:
```
V4Re3Mo
1.0
3.0427 0.0000 0.0000
0.0000 4.3120 0.0000
0.0000 0.0000 8.6312
V Re Mo
4 3 1
Cartesian
0.0000 0.0000 0.0000
0.0000 0.0000 4.3156
0.0000 2.1560 2.1462
0.0000 2.1560 6.4850
1.5214 0.0000 2.1437
1.5214 0.0000 6.4875
1.5214 2.1560 0.0000
1.5214 2.1560 4.3156
```


4.
LiAc2Al12Cu3: simulated powder diffraction line list (CuKα), based on a crystal structure in Alexandria, relaxed with GGA-PBE.
Kinematic intensities with the Lorentz-polarization factor, no thermal factor.

Most intense lines, 5 to 70 degrees two-theta, by angle:
| d/Å | I (rel.) |
| --- | --- |
| 7.153 | 25 |
| 4.521 | 21 |
| 3.825 | 100 |
| 3.578 | 18 |
| 3.207 | 21 |
| 2.919 | 21 |
| 2.457 | 31 |
| 2.262 | 49 |
| 1.946 | 21 |
| 1.475 | 18 |

Structural model:
```
LiAc2Al12Cu3
1.0
4.5214 2.6104 5.8582
-4.5214 2.6104 5.8582
0.0000 -5.2209 5.8582
Li Ac Al Cu
1 2 12 3
Cartesian
0.0000 0.0000 0.0000
0.0000 0.0000 7.0093
0.0000 0.0000 10.5653
-2.7961 -1.6144 9.4146
0.0000 -2.7229 5.3032
-2.3581 1.3614 5.3032
0.0000 -3.2287 8.1600
-2.7962 1.6144 8.1600
-2.3581 -1.3614 12.2714
2.3581 1.3614 5.3032
2.7961 -1.6144 9.4146
0.0000 3.2287 9.4146
2.3581 -1.3614 12.2714
0.0000 2.7229 12.2714
2.7961 1.6144 8.1600
-4.5214 0.0000 8.7873
-2.2607 1.3052 2.9291
2.2607 1.3052 2.9291
```


5.
PmPr2Ho2: simulated powder diffraction line list (CuKα), based on a crystal structure in Alexandria, relaxed with GGA-PBE.
Kinematic intensities with the Lorentz-polarization factor, no thermal factor.

Most intense lines, 5 to 70 degrees two-theta, by angle:
| d/Å | I (rel.) |
| --- | --- |
| 3.068 | 28 |
| 2.966 | 43 |
| 2.888 | 100 |
| 2.648 | 65 |
| 2.394 | 21 |
| 1.810 | 32 |
| 1.757 | 18 |
| 1.546 | 25 |
| 1.544 | 12 |
| 1.534 | 15 |

Structural model:
```
PmPr2Ho2
1.0
3.1355 -1.8101 0.0000
3.1355 1.8101 0.0000
-0.0414 0.0000 14.8320
Pm Pr Ho
1 2 2
Cartesian
0.0000 0.0000 0.0000
2.0497 0.0000 8.9948
4.1800 0.0000 5.8372
2.0898 0.0000 2.9095
4.1399 0.0000 11.9225
```


6.
TbDy8Th2: simulated powder diffraction line list (CuKα), based on a crystal structure in Alexandria, relaxed with GGA-PBE.
Kinematic intensities with the Lorentz-polarization factor, no thermal factor.

Most intense lines, 5 to 70 degrees two-theta, by angle:
| d/Å | I (rel.) |
| --- | --- |
| 9.434 | 14 |
| 2.851 | 59 |
| 2.817 | 100 |
| 2.786 | 75 |
| 2.697 | 30 |
| 1.959 | 18 |
| 1.756 | 12 |
| 1.627 | 23 |
| 1.609 | 13 |
| 1.486 | 22 |

Structural model:
```
TbDy8Th2
1.0
9.4407 -3.5123 0.0000
9.4407 3.5123 0.0000
-0.2102 0.0000 5.5744
Tb Dy Th
1 8 2
Cartesian
0.0000 0.0000 0.0000
6.9074 1.6149 1.4622
3.3881 0.0000 1.2971
11.7638 1.6149 4.1122
8.3943 0.0000 4.2512
10.2769 0.0000 1.3231
6.9074 -1.6149 1.4622
15.2831 0.0000 4.2773
11.7638 -1.6149 4.1122
5.1649 0.0000 4.1143
13.5063 0.0000 1.4601
```